BaNpCu2Te4: theoretical PXRD pattern (copper Kα), based on DFT lattice parameters and positions (GGA-PBE).
Peak positions follow from Bragg's law for the DFT cell and can differ from measured ones.

Top 10 peaks for 2θ = 5–70°, low angle first:
Position (°2θ)	Rel. int.	(hkl)
14.83	40.9	0 1 1
16.42	32.3	1 1 0
26.08	98.4	1 1 2
27.16	26.1	1 2 1
29.93	71.4	0 2 2
31.99	71.9	2 0 2
33.19	100.0	2 2 0
41.10	26.2	1 3 2
44.35	45.7	1 1 4
55.18	28.0	1 3 4

abc: 7.235 8.110 8.827
angles: 90.00 90.00 90.00
Space group I222 (No. 23)
Asymmetric unit:
Ba 0.000 0.000 0.000 (multiplicity 2)
Np 0.000 0.000 0.500 (multiplicity 2)
Cu 0.000 0.500 0.143 (multiplicity 4)
Te 0.248 0.205 0.297 (multiplicity 8)

***

CdSe5: theoretical PXRD pattern (copper Kα), based on DFT lattice parameters and positions (GGA-PBE).
Peak positions follow from Bragg's law for the DFT cell and can differ from measured ones.

Top 10 peaks for 2θ = 5–70°, low angle first:
Position (°2θ)	Rel. int.	(hkl)
17.31	58.8	2 0 0
20.53	44.3	2 0 -2
24.75	71.1	1 1 -1
29.20	100.0	1 1 1
32.95	42.4	3 1 -2
33.83	49.4	4 0 -3
34.70	45.8	3 1 0
43.24	41.6	5 1 -2
45.88	38.3	0 2 0
47.26	42.5	3 1 -4

abc: 12.328 3.956 8.807
angles: 90.00 123.77 90.00
Space group Cm (No. 8)
Asymmetric unit:
Cd 0.000 0.000 0.000 (multiplicity 2)
Se 0.084 0.000 0.789 (multiplicity 2)
Se 0.105 0.500 0.412 (multiplicity 2)
Se 0.268 0.500 0.342 (multiplicity 2)
Se 0.409 0.000 0.106 (multiplicity 2)
Se 0.427 0.000 0.571 (multiplicity 2)

***

ThMgZnNi: theoretical PXRD pattern (copper Kα), based on DFT lattice parameters and positions (GGA-PBE).
Peak positions follow from Bragg's law for the DFT cell and can differ from measured ones.

Top 9 peaks for 2θ = 5–70°, low angle first:
Position (°2θ)	Rel. int.	(hkl)
22.55	61.2	1 1 1
26.10	10.2	2 0 0
37.24	100.0	2 2 0
43.97	33.4	3 1 1
46.04	3.3	2 2 2
53.68	17.3	4 0 0
58.95	14.5	3 3 1
60.64	4.7	4 2 0
67.15	34.9	4 2 2

abc: 6.829 6.829 6.829
angles: 90.00 90.00 90.00
Space group F-43m (No. 216)
Asymmetric unit:
Th 0.000 0.000 0.000 (multiplicity 4)
Mg 0.000 0.000 0.500 (multiplicity 4)
Zn 0.250 0.250 0.250 (multiplicity 4)
Ni 0.250 0.250 0.750 (multiplicity 4)

***

Sc4As3S: theoretical PXRD pattern (copper Kα), based on DFT lattice parameters and positions (GGA-PBE).
Peak positions follow from Bragg's law for the DFT cell and can differ from measured ones.

Top 10 peaks for 2θ = 5–70°, low angle first:
Position (°2θ)	Rel. int.	(hkl)
14.14	4.3	1 1 0
27.26	3.2	1 3 0
28.50	7.1	2 2 0
33.03	100.0	2 0 1
36.09	1.7	1 3 1
47.40	68.7	4 0 0
56.24	3.8	4 2 1
58.98	23.0	4 4 0
69.24	7.0	4 0 2
69.37	3.5	0 8 0

abc: 7.676 10.837 3.838
angles: 90.00 90.00 90.00
Space group Cmmm (No. 65)
Asymmetric unit:
Sc 0.000 0.249 0.000 (multiplicity 4)
Sc 0.249 0.000 0.500 (multiplicity 4)
As 0.000 0.500 0.000 (multiplicity 2)
As 0.250 0.250 0.500 (multiplicity 4)
S 0.000 0.000 0.000 (multiplicity 2)

***

Ho6Te3P2Pt: theoretical PXRD pattern (copper Kα), based on DFT lattice parameters and positions (GGA-PBE).
Peak positions follow from Bragg's law for the DFT cell and can differ from measured ones.

Top 10 peaks for 2θ = 5–70°, low angle first:
Position (°2θ)	Rel. int.	(hkl)
30.06	52.8	6 0 0
30.22	100.0	1 1 -2
32.97	8.0	5 1 -1
42.33	16.0	2 0 -4
42.79	32.5	7 1 -2
43.49	39.5	5 1 2
44.17	19.0	0 2 0
53.38	9.9	4 0 4
54.35	19.7	6 2 0
62.84	10.1	2 2 -4

abc: 18.438 4.101 8.542
angles: 90.00 104.66 90.00
Space group C2/m (No. 12)
Asymmetric unit:
Ho 0.009 0.000 0.228 (multiplicity 4)
Ho 0.161 0.500 0.109 (multiplicity 4)
Ho 0.175 0.500 0.562 (multiplicity 4)
Te 0.000 0.500 0.500 (multiplicity 2)
Te 0.168 0.000 0.832 (multiplicity 4)
P 0.168 0.000 0.338 (multiplicity 4)
Pt 0.000 0.500 0.000 (multiplicity 2)

***

PuGe3Ru5: theoretical PXRD pattern (copper Kα), based on DFT lattice parameters and positions (GGA-PBE).
Peak positions follow from Bragg's law for the DFT cell and can differ from measured ones.

Top 10 peaks for 2θ = 5–70°, low angle first:
Position (°2θ)	Rel. int.	(hkl)
22.78	34.0	0 2 3
36.06	52.5	1 3 0
36.17	99.8	1 1 3
38.27	100.0	1 3 2
39.70	36.9	0 6 0
39.96	74.6	1 1 4
40.11	59.1	0 2 6
40.22	42.1	0 6 1
46.53	49.3	0 4 6
49.19	38.2	1 5 3

abc: 2.979 13.621 14.291
angles: 90.00 90.00 90.00
Space group Cmcm (No. 63)
Asymmetric unit:
Pu 0.000 0.144 0.250 (multiplicity 4)
Ge 0.000 0.152 0.750 (multiplicity 4)
Ge 0.000 0.366 0.558 (multiplicity 8)
Ru 0.000 0.000 0.000 (multiplicity 4)
Ru 0.000 0.189 0.579 (multiplicity 8)
Ru 0.000 0.465 0.154 (multiplicity 8)

***

AcBPd6Au: theoretical PXRD pattern (copper Kα), based on DFT lattice parameters and positions (GGA-PBE).
Peak positions follow from Bragg's law for the DFT cell and can differ from measured ones.

Top 10 peaks for 2θ = 5–70°, low angle first:
Position (°2θ)	Rel. int.	(hkl)
32.71	48.9	2 1 1
33.44	16.4	1 2 3
35.35	41.0	1 1 4
36.01	100.0	2 2 0
38.59	54.5	0 4 0
39.38	21.0	0 1 5
42.93	16.0	2 3 1
45.05	20.9	1 3 4
47.75	38.7	2 2 4
48.41	18.6	0 3 5

abc: 5.904 9.332 11.798
angles: 90.00 90.00 90.00
Space group Imma (No. 74)
Asymmetric unit:
Ac 0.000 0.250 0.177 (multiplicity 4)
B 0.000 0.000 0.500 (multiplicity 4)
Pd 0.000 0.250 0.461 (multiplicity 4)
Pd 0.000 0.250 0.945 (multiplicity 4)
Pd 0.246 0.010 0.622 (multiplicity 16)
Au 0.250 0.250 0.750 (multiplicity 4)

***

Tb9Sm2Tm3: theoretical PXRD pattern (copper Kα), based on DFT lattice parameters and positions (GGA-PBE).
Peak positions follow from Bragg's law for the DFT cell and can differ from measured ones.

Top 10 peaks for 2θ = 5–70°, low angle first:
Position (°2θ)	Rel. int.	(hkl)
30.87	40.1	3 3 0
31.98	100.0	4 0 1
32.23	51.1	2 0 -2
32.60	85.8	1 3 1
45.23	28.2	5 3 -2
47.37	16.9	7 3 0
57.31	19.1	2 0 3
57.70	16.9	1 3 -3
58.46	18.1	5 3 2
63.75	14.2	2 6 -2

abc: 17.122 10.297 5.555
angles: 90.00 108.87 90.00
Space group Cm (No. 8)
Asymmetric unit:
Tb 0.000 0.000 0.000 (multiplicity 2)
Tb 0.015 0.332 0.012 (multiplicity 4)
Tb 0.117 0.169 0.615 (multiplicity 4)
Tb 0.208 0.337 0.206 (multiplicity 4)
Tb 0.315 0.335 0.812 (multiplicity 4)
Sm 0.401 0.177 0.399 (multiplicity 4)
Tm 0.109 0.500 0.606 (multiplicity 2)
Tm 0.206 0.000 0.204 (multiplicity 2)
Tm 0.323 0.000 0.820 (multiplicity 2)